(1)
Starting from a DFT-relaxed cell (PBE+U, Alexandria), the X-ray powder pattern of Li6Mn3CoO10 was calculated for λ = 1.5418 Å (Cu Kα).
Lines closer than 0.1° are merged.

Principal peaks in the range 2θ = 10–90°, low angle first:
- 2θ 18.45, rel. 100
- 2θ 35.21, rel. 14
- 2θ 36.28, rel. 21
- 2θ 42.83, rel. 29
- 2θ 43.99, rel. 55
- 2θ 47.85, rel. 8
- 2θ 57.98, rel. 11
- 2θ 62.85, rel. 15
- 2θ 63.29, rel. 15
- 2θ 64.75, rel. 7

Cell and atoms:
```
Li6Mn3CoO10
1.0
6.4908 -1.4398 0.0000
6.4908 1.4398 0.0000
-2.1882 0.0000 9.5762
Li Mn Co O
6 3 1 10
Cartesian
0.0000 0.0000 0.0000
1.1883 0.0000 5.7419
4.8027 0.0000 2.0250
5.3994 0.0000 4.8087
6.0329 0.0000 7.6029
9.6089 0.0000 3.8663
0.5198 0.0000 2.9469
8.8877 0.0000 0.9739
10.2806 0.0000 6.6666
1.9777 0.0000 8.5942
-0.9076 0.0000 6.2866
-0.0954 0.0000 9.2518
2.5782 0.0000 2.3239
3.3598 0.0000 5.4439
3.9990 0.0000 7.9874
6.7970 0.0000 1.6249
7.4394 0.0000 4.1701
8.2641 0.0000 7.2984
10.9519 0.0000 0.2827
11.7092 0.0000 3.3205
```



(2)
Starting from a DFT-relaxed cell (PBE+U, Alexandria), the X-ray powder pattern of Li3MnCo4O8 was calculated for λ = 1.5418 Å (Cu Kα).
Lines closer than 0.1° are merged.

Principal peaks in the range 2θ = 10–90°, low angle first:
- 2θ 18.31, rel. 99
- 2θ 21.16, rel. 18
- 2θ 35.30, rel. 16
- 2θ 35.53, rel. 25
- 2θ 36.88, rel. 15
- 2θ 37.15, rel. 44
- 2θ 42.99, rel. 51
- 2θ 43.13, rel. 100
- 2θ 62.39, rel. 42
- 2θ 62.68, rel. 28

Cell and atoms:
```
Li3MnCo4O8
1.0
5.1398 -2.9554 0.0000
5.1398 2.9554 0.0000
-3.4190 0.0000 4.8740
Li Mn Co O
3 1 4 8
Cartesian
0.0000 0.0000 0.0000
0.8604 1.4777 2.4370
0.8604 -1.4777 2.4370
3.4303 0.0000 2.4370
-1.7095 0.0000 2.4370
2.5699 1.4777 0.0000
2.5699 -1.4777 0.0000
5.1398 0.0000 0.0000
-0.0365 0.0000 3.7351
2.6045 1.3846 3.5504
1.8677 0.0000 1.2576
4.2562 1.3846 1.3236
2.6045 -1.3846 3.5504
4.9929 0.0000 3.6164
4.2562 -1.3846 1.3236
6.8971 0.0000 1.1389
```



(3)
Starting from a DFT-relaxed cell (PBE+U, Alexandria), the X-ray powder pattern of Li2MnCoO4 was calculated for λ = 1.5418 Å (Cu Kα).
Lines closer than 0.1° are merged.

Principal peaks in the range 2θ = 10–90°, low angle first:
- 2θ 18.33, rel. 100
- 2θ 35.51, rel. 29
- 2θ 35.99, rel. 14
- 2θ 37.14, rel. 15
- 2θ 43.17, rel. 52
- 2θ 43.54, rel. 26
- 2θ 47.24, rel. 10
- 2θ 57.10, rel. 12
- 2θ 62.66, rel. 14
- 2θ 63.32, rel. 14

Cell and atoms:
```
Li2MnCoO4
1.0
5.1285 0.0000 0.0000
0.0000 5.9564 0.0000
-1.6742 0.0000 4.7805
Li Mn Co O
4 2 2 8
Cartesian
-0.4185 0.7283 1.1951
-1.2556 2.2018 3.5854
-0.4185 3.7546 1.1951
-1.2556 5.2281 3.5854
2.1457 2.2273 1.1951
1.3086 3.7291 3.5854
1.3086 0.7210 3.5854
2.1457 5.2354 1.1951
1.3252 0.8624 0.0994
0.4881 5.0940 2.4897
0.5995 2.3307 2.3780
-0.2376 3.6257 4.7683
3.6919 2.3307 0.0123
2.8548 3.6257 2.4025
2.9662 0.8624 2.2908
2.1291 5.0940 4.6811
```



(4)
Starting from a DFT-relaxed cell (PBE+U, Alexandria), the X-ray powder pattern of Li7Mn2Co3O12 was calculated for λ = 1.5418 Å (Cu Kα).
Lines closer than 0.1° are merged.

Principal peaks in the range 2θ = 10–90°, low angle first:
- 2θ 18.36, rel. 100
- 2θ 35.85, rel. 12
- 2θ 36.14, rel. 25
- 2θ 43.55, rel. 26
- 2θ 43.68, rel. 56
- 2θ 47.86, rel. 9
- 2θ 57.52, rel. 14
- 2θ 63.27, rel. 14
- 2θ 63.50, rel. 14
- 2θ 64.16, rel. 8

Cell and atoms:
```
Li7Mn2Co3O12
1.0
7.6750 -1.4515 0.0000
7.6750 1.4515 0.0000
-3.4846 0.0000 9.6145
Li Mn Co O
7 2 3 12
Cartesian
0.0000 0.0000 0.0000
-0.7149 0.0000 8.8156
1.2143 0.0000 3.9840
6.7815 0.0000 2.2237
5.0006 0.0000 7.4220
12.4696 0.0000 0.7364
10.6970 0.0000 5.6931
-1.7316 0.0000 4.8834
9.6117 0.0000 1.5351
3.9751 0.0000 3.2133
2.3138 0.0000 8.1802
7.9600 0.0000 6.4271
-1.1122 0.0000 6.7277
0.7125 0.0000 1.9884
3.2402 0.0000 1.2292
1.5299 0.0000 6.0184
6.1079 0.0000 0.3392
4.7102 0.0000 5.2493
7.2423 0.0000 4.5886
5.6438 0.0000 9.3721
8.5358 0.0000 8.1998
10.2730 0.0000 3.4679
11.1977 0.0000 7.6302
13.0855 0.0000 3.0293
```



(5)
Starting from a DFT-relaxed cell (PBE+U, Alexandria), the X-ray powder pattern of Li7Mn2Co3O12 was calculated for λ = 1.5418 Å (Cu Kα).
Lines closer than 0.1° are merged.

Principal peaks in the range 2θ = 10–90°, low angle first:
- 2θ 18.36, rel. 100
- 2θ 34.19, rel. 20
- 2θ 36.10, rel. 13
- 2θ 36.88, rel. 10
- 2θ 41.08, rel. 36
- 2θ 43.89, rel. 29
- 2θ 45.07, rel. 25
- 2θ 61.41, rel. 9
- 2θ 61.95, rel. 9
- 2θ 62.61, rel. 16

Cell and atoms:
```
Li7Mn2Co3O12
1.0
3.0259 0.0000 0.0000
0.3780 5.9924 0.0000
0.3371 2.8514 12.0686
Li Mn Co O
7 2 3 12
Cartesian
0.0000 0.0000 0.0000
0.1890 2.9962 0.0000
0.3190 2.8894 8.0693
1.9087 4.3068 10.1300
1.6815 1.4257 6.0343
1.8323 4.5370 1.9386
3.4220 5.9544 3.9992
0.2578 2.9494 3.9803
3.4832 5.8944 8.0882
1.5871 1.4081 1.9081
1.8705 4.4219 6.0343
2.1539 7.4357 10.1605
0.3163 2.9778 5.9411
0.2858 2.9128 2.0502
0.4145 2.7501 10.0761
1.7826 4.4304 7.9656
1.5702 1.5004 3.8431
1.5995 1.5097 0.1800
2.1415 7.3341 11.8886
2.1708 7.3434 8.2254
1.9584 4.4134 4.1030
3.3265 6.0937 1.9924
3.4552 5.9310 10.0183
3.4246 5.8660 6.1275
```



(6)
Starting from a DFT-relaxed cell (PBE+U, Alexandria), the X-ray powder pattern of Li4MnCo2O7 was calculated for λ = 1.5418 Å (Cu Kα).
Lines closer than 0.1° are merged.

Principal peaks in the range 2θ = 10–90°, low angle first:
- 2θ 18.40, rel. 100
- 2θ 36.34, rel. 13
- 2θ 36.64, rel. 25
- 2θ 44.09, rel. 81
- 2θ 48.37, rel. 8
- 2θ 57.87, rel. 10
- 2θ 63.03, rel. 7
- 2θ 63.77, rel. 14
- 2θ 64.44, rel. 14
- 2θ 65.20, rel. 7

Cell and atoms:
```
Li4MnCo2O7
1.0
14.4800 -1.4308 0.0000
14.4800 1.4308 0.0000
-0.6793 0.0000 5.8602
Li Mn Co O
8 2 4 14
Cartesian
0.0000 0.0000 0.0000
-0.3397 0.0000 2.9301
3.7475 0.0000 3.3235
8.2393 0.0000 0.8398
12.0517 0.0000 4.1498
16.2290 0.0000 1.7104
20.0414 0.0000 5.0204
24.5332 0.0000 2.5368
12.3328 0.0000 1.2728
15.9479 0.0000 4.5875
4.0464 0.0000 0.4160
7.8685 0.0000 3.7639
20.4122 0.0000 2.0964
24.2343 0.0000 5.4443
1.7062 0.0000 3.3133
2.1281 0.0000 0.0891
5.9646 0.0000 0.6804
5.8082 0.0000 3.5043
9.8989 0.0000 4.1439
10.3584 0.0000 0.9076
14.1593 0.0000 1.4340
14.1214 0.0000 4.4262
17.9223 0.0000 4.9526
18.3818 0.0000 1.7164
22.4725 0.0000 2.3559
22.3161 0.0000 5.1799
26.1526 0.0000 5.7712
26.5745 0.0000 2.5469
```



(7)
Starting from a DFT-relaxed cell (PBE+U, Alexandria), the X-ray powder pattern of Li7Mn2Co3O12 was calculated for λ = 1.5418 Å (Cu Kα).
Lines closer than 0.1° are merged.

Principal peaks in the range 2θ = 10–90°, low angle first:
- 2θ 11.94, rel. 10
- 2θ 18.52, rel. 100
- 2θ 36.36, rel. 26
- 2θ 36.92, rel. 12
- 2θ 43.91, rel. 55
- 2θ 44.75, rel. 26
- 2θ 57.85, rel. 10
- 2θ 64.02, rel. 14
- 2θ 64.17, rel. 8
- 2θ 64.97, rel. 14

Cell and atoms:
```
Li7Mn2Co3O12
1.0
7.4321 -1.4515 0.0000
7.4321 1.4515 0.0000
-6.7522 0.0000 9.5806
Li Mn Co O
7 2 3 12
Cartesian
0.0000 0.0000 0.0000
-1.6324 0.0000 2.3177
-5.1028 0.0000 7.2664
3.3317 0.0000 2.4111
0.0030 0.0000 7.3362
8.1549 0.0000 2.2676
4.9138 0.0000 7.1526
1.6044 0.0000 4.7951
3.1432 0.0000 9.5699
-3.3329 0.0000 4.7646
5.0613 0.0000 0.0257
6.5426 0.0000 4.8230
-1.7192 0.0000 5.8145
1.7809 0.0000 1.0785
-0.0542 0.0000 3.7813
-3.3862 0.0000 8.5642
6.4744 0.0000 1.1360
3.2716 0.0000 5.7989
4.9262 0.0000 3.7815
1.7087 0.0000 8.4458
11.5937 0.0000 1.0514
8.1536 0.0000 5.9321
6.3926 0.0000 8.5201
9.9106 0.0000 3.6582
```



(8)
Starting from a DFT-relaxed cell (PBE+U, Alexandria), the X-ray powder pattern of Li4MnCo2O7 was calculated for λ = 1.5418 Å (Cu Kα).
Lines closer than 0.1° are merged.

Principal peaks in the range 2θ = 10–90°, low angle first:
- 2θ 18.59, rel. 100
- 2θ 36.39, rel. 13
- 2θ 36.69, rel. 12
- 2θ 36.88, rel. 13
- 2θ 43.93, rel. 26
- 2θ 44.46, rel. 25
- 2θ 44.62, rel. 26
- 2θ 48.54, rel. 7
- 2θ 64.06, rel. 7
- 2θ 65.29, rel. 7

Cell and atoms:
```
Li4MnCo2O7
1.0
2.8732 0.0000 0.0000
0.0234 5.0432 0.0000
1.1981 0.5933 16.4857
Li Mn Co O
8 2 4 14
Cartesian
0.0000 0.0000 0.0000
1.1783 2.2606 14.2306
1.2133 0.6853 9.5440
1.3303 4.0927 4.8348
1.4411 2.5733 0.0708
2.6483 1.5193 11.8553
2.6589 4.9122 7.2150
2.8659 3.3327 2.3880
1.4448 0.7376 2.3328
2.7651 1.6002 4.8443
1.2283 4.0224 11.8551
1.2218 2.4052 7.2312
2.6790 4.8371 14.2205
2.6621 3.2111 9.5445
1.1958 4.0455 15.1889
1.2480 5.5067 13.0735
1.2245 2.5047 10.6498
1.2271 3.9091 8.4417
1.1677 0.8250 6.0588
1.4851 2.3435 3.6335
1.4380 4.2992 1.3367
2.6148 1.2893 15.2033
2.6680 3.3298 12.9419
2.6675 4.7342 10.7473
2.6571 1.7031 8.3326
2.6600 3.1573 6.1328
2.8921 5.0854 3.5310
2.8713 1.5728 1.3593
```



(9)
Starting from a DFT-relaxed cell (PBE+U, Alexandria), the X-ray powder pattern of Li7Mn2Co3O12 was calculated for λ = 1.5418 Å (Cu Kα).
Lines closer than 0.1° are merged.

Principal peaks in the range 2θ = 10–90°, low angle first:
- 2θ 18.52, rel. 100
- 2θ 35.10, rel. 13
- 2θ 36.39, rel. 26
- 2θ 42.63, rel. 29
- 2θ 44.22, rel. 55
- 2θ 47.87, rel. 8
- 2θ 58.34, rel. 9
- 2θ 62.83, rel. 15
- 2θ 63.36, rel. 14
- 2θ 63.65, rel. 8

Cell and atoms:
```
Li7Mn2Co3O12
1.0
14.5544 -1.4352 0.0000
14.5544 1.4352 0.0000
-0.8162 0.0000 5.1135
Li Mn Co O
7 2 3 12
Cartesian
0.0000 0.0000 0.0000
1.7129 0.0000 3.7122
7.0635 0.0000 1.2904
11.7788 0.0000 4.0888
16.5137 0.0000 1.0248
21.2289 0.0000 3.8231
26.5796 0.0000 1.4014
8.9100 0.0000 5.0994
19.3824 0.0000 0.0141
4.4119 0.0000 2.5621
14.1462 0.0000 2.5568
23.8805 0.0000 2.5514
0.7599 0.0000 1.9587
3.6295 0.0000 0.5592
5.2279 0.0000 4.5947
8.1003 0.0000 3.2980
10.4554 0.0000 1.7633
13.3349 0.0000 0.8866
14.9576 0.0000 4.2269
17.8370 0.0000 3.3502
20.1921 0.0000 1.8156
23.0645 0.0000 0.5189
24.6629 0.0000 4.5544
27.5326 0.0000 3.1549
```



(10)
Starting from a DFT-relaxed cell (PBE+U, Alexandria), the X-ray powder pattern of Li7Mn2Co3O12 was calculated for λ = 1.5418 Å (Cu Kα).
Lines closer than 0.1° are merged.

Principal peaks in the range 2θ = 10–90°, low angle first:
- 2θ 11.55, rel. 9
- 2θ 18.34, rel. 100
- 2θ 35.13, rel. 17
- 2θ 36.56, rel. 26
- 2θ 42.12, rel. 24
- 2θ 44.41, rel. 55
- 2θ 58.41, rel. 8
- 2θ 62.57, rel. 10
- 2θ 63.16, rel. 13
- 2θ 65.13, rel. 8

Cell and atoms:
```
Li7Mn2Co3O12
1.0
4.8807 -1.4323 0.0000
4.8807 1.4323 0.0000
-2.0294 0.0000 15.3250
Li Mn Co O
7 2 3 12
Cartesian
0.0000 0.0000 0.0000
-1.1934 0.0000 10.1929
-0.4285 0.0000 5.5053
1.4569 0.0000 9.1357
4.5186 0.0000 2.8151
3.2660 0.0000 12.8704
4.2226 0.0000 7.9698
7.1061 0.0000 1.2957
5.9011 0.0000 11.5974
1.9531 0.0000 4.0377
0.6245 0.0000 14.1302
6.8491 0.0000 6.8383
1.0360 0.0000 1.7817
-0.1295 0.0000 12.3665
0.6762 0.0000 7.1807
3.4002 0.0000 0.6200
2.2122 0.0000 11.1497
2.9484 0.0000 5.8226
5.6226 0.0000 4.4546
4.3324 0.0000 14.7456
5.0612 0.0000 9.9993
7.9242 0.0000 3.0348
6.6637 0.0000 13.5358
7.7153 0.0000 8.4067
```